(1)
# NbH4
Computed X-ray diffraction stick pattern, CuKα. Input: a structure optimized by DFT (PBE).
Neutral-atom scattering factors, no anomalous dispersion.

Structural model:
```
data_NbH4
_chemical_formula_sum 'Nb4 H16'
_symmetry_space_group_name_H-M 'C 1 2 1'
_symmetry_Int_Tables_number 5
_cell_length_a 5.611
_cell_length_b 3.222
_cell_length_c 8.047
_cell_angle_alpha 90.00
_cell_angle_beta 91.23
_cell_angle_gamma 90.00
loop_
_symmetry_equiv_pos_as_xyz
'x,y,z'
'-x,y,-z'
'x+1/2,y+1/2,z'
'-x+1/2,y+1/2,-z'
loop_
_atom_site_label
_atom_site_type_symbol
_atom_site_fract_x
_atom_site_fract_y
_atom_site_fract_z
Nb1 Nb 0.163 0.000 0.348
H1 H 0.007 0.496 0.733
H2 H 0.126 0.949 0.103
H3 H 0.168 0.997 0.585
H4 H 0.211 0.156 0.114
```

Largest 10 diffraction maxima, in order of rising 2θ, 2θ = 15–90°:
(0 0 2), 22.1°, intensity 15.6; (1 1 0), 32.0°, intensity 29.5; (0 0 3), 33.4°, intensity 43.3; (2 0 -1), 33.6°, intensity 46.0; (1 1 1), 34.1°, intensity 100.0; (1 1 -2), 39.1°, intensity 53.5; (2 0 2), 39.5°, intensity 49.7; (1 1 -3), 46.7°, intensity 19.4; (1 1 4), 56.7°, intensity 18.9; (3 1 0), 56.9°, intensity 21.3

***

(2)
# Zr2Nb4As3C3
Computed X-ray diffraction stick pattern, CuKα. Input: a structure optimized by DFT (PBE).
Neutral-atom scattering factors, no anomalous dispersion.

Structural model:
```
data_Zr2Nb4As3C3
_chemical_formula_sum 'Zr8 Nb16 As12 C12'
_symmetry_space_group_name_H-M 'C 1 2/c 1'
_symmetry_Int_Tables_number 15
_cell_length_a 10.135
_cell_length_b 5.856
_cell_length_c 12.705
_cell_angle_alpha 90.00
_cell_angle_beta 105.42
_cell_angle_gamma 90.00
loop_
_symmetry_equiv_pos_as_xyz
'x,y,z'
'-x,-y,-z'
'-x,y,-z+1/2'
'x,-y,z+1/2'
'x+1/2,y+1/2,z'
'-x+1/2,-y+1/2,-z'
'-x+1/2,y+1/2,-z+1/2'
'x+1/2,-y+1/2,z+1/2'
loop_
_atom_site_label
_atom_site_type_symbol
_atom_site_fract_x
_atom_site_fract_y
_atom_site_fract_z
Zr1 Zr 0.049 0.083 0.398
Nb1 Nb 0.114 0.415 0.593
Nb2 Nb 0.220 0.417 0.907
As1 As 0.000 0.430 0.250
As2 As 0.173 0.089 0.750
C1 C 0.084 0.253 0.000
C2 C 0.250 0.250 0.500
```

Largest 10 diffraction maxima, in order of rising 2θ, 2θ = 15–90°:
(3 1 -1), 30.5°, intensity 26.3; (0 2 3), 37.8°, intensity 100.0; (0 0 6), 44.4°, intensity 11.4; (6 0 -2), 54.3°, intensity 25.3; (3 1 -7), 54.8°, intensity 11.1; (0 4 0), 63.6°, intensity 3.2; (6 2 -5), 68.1°, intensity 16.8; (6 0 -8), 72.6°, intensity 15.2; (0 2 9), 77.3°, intensity 8.3; (0 4 6), 80.8°, intensity 3.4

***

(3)
# PrNdSb2Pt2
Computed X-ray diffraction stick pattern, CuKα. Input: a structure optimized by DFT (PBE).
Neutral-atom scattering factors, no anomalous dispersion.

Structural model:
```
data_PrNdSb2Pt2
_chemical_formula_sum 'Pr4 Nd4 Sb8 Pt8'
_symmetry_space_group_name_H-M 'P 1 m 1'
_symmetry_Int_Tables_number 6
_cell_length_a 9.576
_cell_length_b 4.787
_cell_length_c 14.363
_cell_angle_alpha 90.00
_cell_angle_beta 109.47
_cell_angle_gamma 90.00
loop_
_symmetry_equiv_pos_as_xyz
'x,y,z'
'x,-y,z'
loop_
_atom_site_label
_atom_site_type_symbol
_atom_site_fract_x
_atom_site_fract_y
_atom_site_fract_z
Pr1 Pr 0.000 0.000 0.000
Pr2 Pr 0.125 0.500 0.750
Pr3 Pr 0.250 0.000 0.500
Pr4 Pr 0.500 0.000 0.000
Nd1 Nd 0.375 0.500 0.250
Nd2 Nd 0.625 0.500 0.750
Nd3 Nd 0.750 0.000 0.500
Nd4 Nd 0.875 0.500 0.250
Sb1 Sb 0.125 0.000 0.250
Sb2 Sb 0.250 0.500 0.001
Sb3 Sb 0.376 0.000 0.750
Sb4 Sb 0.501 0.500 0.500
Sb5 Sb 0.625 0.000 0.250
Sb6 Sb 0.750 0.500 0.000
Sb7 Sb 0.874 0.000 0.749
Sb8 Sb 0.999 0.500 0.499
Pt1 Pt 0.063 0.500 0.126
Pt2 Pt 0.188 0.000 0.875
Pt3 Pt 0.314 0.500 0.625
Pt4 Pt 0.439 0.000 0.374
Pt5 Pt 0.563 0.500 0.126
Pt6 Pt 0.687 0.000 0.874
Pt7 Pt 0.811 0.500 0.624
Pt8 Pt 0.936 0.000 0.374
```

Largest 10 diffraction maxima, in order of rising 2θ, 2θ = 15–90°:
(2 0 1), 22.7°, intensity 42.9; (0 0 4), 26.3°, intensity 3.4; (2 1 3), 37.6°, intensity 100.0; (4 1 0), 44.4°, intensity 22.6; (0 0 8), 54.2°, intensity 17.4; (4 1 4), 59.5°, intensity 9.6; (6 1 1), 67.8°, intensity 35.4; (4 3 0), 72.5°, intensity 7.2; (4 2 6), 80.2°, intensity 11.2; (4 3 4), 84.7°, intensity 7.3